This entry pairs a crystal structure of YMoN3 with its computed XRD peak list. Radiation: copper Kα. Structure: a structure optimized by DFT (GGA-PBE).
Intensities are scaled so that the largest is 100.

Peak list (6 most intense, 10 to 80 degrees two-theta, by angle)
2theta  Rel. int.  hkl
10.34  56  0 0 1
28.69  38  1 0 -2
31.37  30  0 0 3
34.50  100  1 1 0
34.70  45  0 1 2
42.19  31  0 1 3

Crystal structure
```
data_YMoN3
_chemical_formula_sum 'Y2 Mo2 N6'
_cell_length_a 4.348
_cell_length_b 3.245
_cell_length_c 8.561
_cell_angle_alpha 90.00
_cell_angle_beta 92.30
_cell_angle_gamma 90.00
_space_group_name_H-M_alt 'P 1 m 1'
_space_group_IT_number 6
loop_
_space_group_symop_operation_xyz
'x,y,z'
'x,-y,z'
loop_
_atom_site_label
_atom_site_type_symbol
_atom_site_fract_x
_atom_site_fract_y
_atom_site_fract_z
Y1 Y 0.000 0.000 0.000
Y2 Y 0.463 0.500 0.630
Mo1 Mo 0.503 0.500 0.253
Mo2 Mo 0.912 0.000 0.380
N1 N 0.130 0.000 0.728
N2 N 0.413 0.000 0.409
N3 N 0.441 0.500 0.010
N4 N 0.644 0.500 0.900
N5 N 0.909 0.000 0.617
N6 N 0.977 0.500 0.211
```

***

This entry pairs a crystal structure of KRb2TlBr4 with its computed XRD peak list. Radiation: copper Kα. Structure: a structure optimized by DFT (GGA-PBE).
Intensities are scaled so that the largest is 100.

Peak list (6 most intense, 10 to 80 degrees two-theta, by angle)
2theta  Rel. int.  hkl
25.96  100  1 1 1
37.04  77  0 2 0
45.79  28  0 0 4
53.39  13  2 2 2
60.30  36  1 3 1
66.76  24  1 3 -3

Crystal structure
```
data_KRb2TlBr4
_chemical_formula_sum 'K1 Rb2 Tl1 Br4'
_cell_length_a 8.399
_cell_length_b 4.856
_cell_length_c 8.409
_cell_angle_alpha 90.00
_cell_angle_beta 109.46
_cell_angle_gamma 90.00
_space_group_name_H-M_alt 'P 1 2/m 1'
_space_group_IT_number 10
loop_
_space_group_symop_operation_xyz
'x,y,z'
'-x,-y,-z'
'-x,y,-z'
'x,-y,z'
loop_
_atom_site_label
_atom_site_type_symbol
_atom_site_fract_x
_atom_site_fract_y
_atom_site_fract_z
K1 K 0.000 0.000 0.000
Rb1 Rb 0.500 0.000 0.500
Rb2 Rb 0.500 0.500 0.000
Tl1 Tl 0.000 0.500 0.500
Br1 Br 0.240 0.500 0.245
Br2 Br 0.241 0.000 0.749
```

***

This entry pairs a crystal structure of Sc4ZnCdIn2 with its computed XRD peak list. Radiation: copper Kα. Structure: a structure optimized by DFT (GGA-PBE).
Intensities are scaled so that the largest is 100.

Peak list (6 most intense, 10 to 80 degrees two-theta, by angle)
2theta  Rel. int.  hkl
25.41  20  1 0 4
36.24  100  1 1 0
52.19  17  2 0 8
58.92  8  1 1 12
65.20  32  3 0 0
76.94  10  2 2 0

Crystal structure
```
data_Sc4ZnCdIn2
_chemical_formula_sum 'Sc12 Zn3 Cd3 In6'
_cell_length_a 4.9594
_cell_length_b 4.9594
_cell_length_c 24.2595
_cell_angle_alpha 90.00
_cell_angle_beta 90.00
_cell_angle_gamma 120.00
_space_group_name_H-M_alt 'R -3 m'
_space_group_IT_number 166
_space_group_name_Hall '-R 3 2"'
loop_
_atom_site_label
_atom_site_type_symbol
_atom_site_fract_x
_atom_site_fract_y
_atom_site_fract_z
Sc1 Sc 0.0000 0.0000 0.1215
Sc2 Sc 0.0000 0.0000 0.3719
Zn1 Zn 0.0000 0.0000 0.0000
Cd1 Cd 0.0000 0.0000 0.5000
In1 In 0.0000 0.0000 0.2482
```

***

This entry pairs a crystal structure of Cs4BaP6O18 with its computed XRD peak list. Radiation: copper Kα. Structure: a structure optimized by DFT (GGA-PBE).
Intensities are scaled so that the largest is 100.

Peak list (6 most intense, 10 to 80 degrees two-theta, by angle)
2theta  Rel. int.  hkl
23.12  100  2 1 0
24.48  99  1 1 2
26.27  28  3 0 0
30.21  70  3 -1 2
40.46  30  4 0 2
45.76  28  2 1 4

Crystal structure
```
data_Cs4BaP6O18
_chemical_formula_sum 'Cs8 Ba2 P12 O36'
_cell_length_a 11.7521
_cell_length_b 11.7521
_cell_length_c 9.2567
_cell_angle_alpha 90.00
_cell_angle_beta 90.00
_cell_angle_gamma 120.00
_space_group_name_H-M_alt 'P 3 1 c'
_space_group_IT_number 159
loop_
_space_group_symop_operation_xyz
'x,y,z'
'-y,x-y,z'
'-x+y,-x,z'
'y,x,z+1/2'
'x-y,-y,z+1/2'
'-x,-x+y,z+1/2'
loop_
_atom_site_label
_atom_site_type_symbol
_atom_site_fract_x
_atom_site_fract_y
_atom_site_fract_z
Cs1 Cs 0.0081 0.2388 0.0000
Cs2 Cs 0.3333 0.6667 0.2383
Ba1 Ba 0.3333 0.6667 0.7484
P1 P 0.0036 0.5482 0.4833
P2 P 0.0227 0.7138 0.7349
O1 O 0.0234 0.6761 0.0735
O2 O 0.0469 0.8359 0.2640
O3 O 0.0475 0.6241 0.3278
O4 O 0.1224 0.5461 0.5383
O5 O 0.1253 0.5481 0.9692
O6 O 0.1692 0.7807 0.7505
```